Theoretical powder diffractogram of Pm2B2O5 for copper Kα, from a structure optimized by DFT (GGA-PBE).

The 10 most intense peaks (10 to 90 degrees two-theta), in order of rising 2θ:
- (1 0 0), 2θ = 24.7°, I = 100
- (0 0 2), 2θ = 25.9°, I = 33
- (1 1 0), 2θ = 35.3°, I = 41
- (1 0 2), 2θ = 36.1°, I = 97
- (1 1 2), 2θ = 44.3°, I = 81
- (2 0 0), 2θ = 50.8°, I = 31
- (2 1 0), 2θ = 57.3°, I = 21
- (2 0 2), 2θ = 57.9°, I = 17
- (1 0 4), 2θ = 59.6°, I = 19
- (2 1 2), 2θ = 63.9°, I = 37

Structure:
Lattice parameters (Å, degrees): 3.598 3.598 6.872 90.00 90.00 90.00
Sites, in units of the cell vectors:
1 Pm 0.000 0.000 0.000
2 Pm 0.000 0.000 0.500
3 B 0.500 0.500 0.226
4 B 0.500 0.500 0.774
5 O 0.000 0.500 0.250
6 O 0.000 0.500 0.750
7 O 0.500 0.000 0.250
8 O 0.500 0.000 0.750
9 O 0.500 0.500 0.000